# 1
This entry pairs a crystal structure of Mo3O10 with its simulated powder diffraction line list. Radiation: Cu Kα (weighted mean of Kα1 and Kα2). Structure: a GGA+U-relaxed structure.
No peak broadening, texture or thermal motion is included.

abc: 11.1441 11.1441 3.6752
angles: 90.00 90.00 120.00
Atoms (fractional coordinates):
Mo 0.1081 0.4611 0.2500
Mo 0.3530 0.8919 0.2500
Mo 0.4611 0.3530 0.7500
Mo 0.5389 0.6470 0.2500
Mo 0.6470 0.1081 0.7500
Mo 0.8919 0.5389 0.7500
O 0.0000 0.0000 0.2500
O 0.0000 0.0000 0.7500
O 0.0165 0.2846 0.2500
O 0.0773 0.5022 0.7500
O 0.2187 0.7195 0.2500
O 0.2681 0.9835 0.2500
O 0.2805 0.4992 0.2500
O 0.2846 0.2681 0.7500
O 0.4249 0.9227 0.7500
O 0.4978 0.5751 0.7500
O 0.4992 0.2187 0.7500
O 0.5008 0.7813 0.2500
O 0.5022 0.4249 0.2500
O 0.5751 0.0773 0.2500
O 0.7154 0.7319 0.2500
O 0.7195 0.5008 0.7500
O 0.7319 0.0165 0.7500
O 0.7813 0.2805 0.7500
O 0.9227 0.4978 0.2500
O 0.9835 0.7154 0.7500

Top 10 peaks for 2θ from 10° to 80°, in order of rising 2θ:
- 18.39 deg, I = 32.6
- 24.40 deg, I = 100.0
- 25.94 deg, I = 46.5
- 29.11 deg, I = 51.4
- 34.65 deg, I = 35.4
- 42.94 deg, I = 28.1
- 44.94 deg, I = 16.8
- 53.63 deg, I = 13.5
- 55.43 deg, I = 18.4
- 56.04 deg, I = 18.6

=====

# 2
This entry pairs a crystal structure of Mo4O11 with its simulated powder diffraction line list. Radiation: Cu Kα (weighted mean of Kα1 and Kα2). Structure: a GGA+U-relaxed structure.
No peak broadening, texture or thermal motion is included.

abc: 24.9662 6.8625 5.5421
angles: 90.00 90.00 90.00
Atoms (fractional coordinates):
Mo 0.0291 0.1589 0.9996
Mo 0.0872 0.4830 0.5000
Mo 0.1474 0.8049 0.9958
Mo 0.2052 0.1286 0.5143
Mo 0.2948 0.6286 0.0143
Mo 0.3526 0.3049 0.4958
Mo 0.4128 0.9830 0.0000
Mo 0.4709 0.6589 0.4996
Mo 0.5291 0.3411 0.9996
Mo 0.5872 0.0170 0.5000
Mo 0.6474 0.6951 0.9958
Mo 0.7052 0.3714 0.5143
Mo 0.7948 0.8714 0.0143
Mo 0.8526 0.1951 0.4958
Mo 0.9128 0.5170 0.0000
Mo 0.9709 0.8411 0.4996
O 0.0021 0.0083 0.7369
O 0.0308 0.6584 0.4982
O 0.0610 0.3161 0.2680
O 0.0657 0.3366 0.7615
O 0.0939 0.9827 0.0032
O 0.1227 0.6404 0.2225
O 0.1278 0.6746 0.7264
O 0.1638 0.3411 0.4931
O 0.1863 0.9629 0.2834
O 0.1928 0.0163 0.7998
O 0.2240 0.6773 0.9880
O 0.2760 0.1773 0.4880
O 0.3072 0.5163 0.2998
O 0.3137 0.4629 0.7834
O 0.3362 0.8411 0.9931
O 0.3722 0.1746 0.2264
O 0.3773 0.1404 0.7225
O 0.4061 0.4827 0.5032
O 0.4343 0.8366 0.2615
O 0.4390 0.8161 0.7680
O 0.4692 0.1584 0.9982
O 0.4979 0.5083 0.2369
O 0.5021 0.4917 0.7369
O 0.5308 0.8416 0.4982
O 0.5610 0.1839 0.2680
O 0.5657 0.1634 0.7615
O 0.5939 0.5173 0.0032
O 0.6227 0.8596 0.2225
O 0.6278 0.8254 0.7264
O 0.6638 0.1589 0.4931
O 0.6863 0.5371 0.2834
O 0.6928 0.4837 0.7998
O 0.7240 0.8227 0.9880
O 0.7760 0.3227 0.4880
O 0.8072 0.9837 0.2998
O 0.8137 0.0371 0.7834
O 0.8362 0.6589 0.9931
O 0.8722 0.3254 0.2264
O 0.8773 0.3596 0.7225
O 0.9061 0.0173 0.5032
O 0.9343 0.6634 0.2615
O 0.9390 0.6839 0.7680
O 0.9692 0.3416 0.9982
O 0.9979 0.9917 0.2369

Top 10 peaks for 2θ from 10° to 80°, in order of rising 2θ:
- 21.81 deg, I = 97.1
- 22.01 deg, I = 65.7
- 23.23 deg, I = 100.0
- 25.05 deg, I = 76.0
- 31.49 deg, I = 23.7
- 32.31 deg, I = 29.0
- 32.52 deg, I = 27.8
- 32.94 deg, I = 37.5
- 51.97 deg, I = 18.3
- 54.57 deg, I = 25.7

=====

# 3
This entry pairs a crystal structure of Mo3O8 with its simulated powder diffraction line list. Radiation: Cu Kα (weighted mean of Kα1 and Kα2). Structure: a GGA+U-relaxed structure.
No peak broadening, texture or thermal motion is included.

abc: 6.5088 6.5088 5.0652
angles: 108.78 108.78 55.66
Atoms (fractional coordinates):
Mo 0.0000 0.0000 0.0000
Mo 0.2898 0.7102 0.5000
Mo 0.7102 0.2898 0.5000
O 0.0966 0.0966 0.4028
O 0.1345 0.6769 0.1071
O 0.3231 0.8655 0.8929
O 0.3836 0.3836 0.5572
O 0.6164 0.6164 0.4428
O 0.6769 0.1345 0.1071
O 0.8655 0.3231 0.8929
O 0.9034 0.9034 0.5972

Top 10 peaks for 2θ from 10° to 80°, in order of rising 2θ:
- 16.54 deg, I = 100.0
- 22.90 deg, I = 19.0
- 27.51 deg, I = 11.9
- 29.23 deg, I = 8.1
- 35.83 deg, I = 23.1
- 38.15 deg, I = 12.3
- 42.10 deg, I = 8.2
- 43.87 deg, I = 21.2
- 47.42 deg, I = 9.7
- 63.13 deg, I = 11.0